(1)
This entry pairs a crystal structure of Ba2NdMgMoO6 with its simulated powder diffraction line list. Radiation: Cu Kα (weighted mean of Kα1 and Kα2). Structure: a crystal structure in the Materials Project, relaxed with PBE+U.

Most intense lines, 10° ≤ 2θ ≤ 90°, sorted by position:
h k l, Position (°2θ), d/Å, I_rel
1 1 -1, 29.5, 3.027, 100
1 -2 1, 29.8, 2.996, 86
2 -1 0, 30.0, 2.979, 92
0 1 1, 30.5, 2.932, 62
1 0 -2, 31.0, 2.880, 59
1 -1 2, 33.0, 2.718, 58
-2 2 1, 42.0, 2.149, 43
2 0 1, 44.5, 2.035, 34
0 2 -3, 45.1, 2.010, 37
-3 1 2, 52.6, 1.739, 32

Structure:
```
data_Ba2NdMgMoO6
_cell_length_a 5.974
_cell_length_b 6.017
_cell_length_c 6.475
_cell_angle_alpha 112.95
_cell_angle_beta 93.76
_cell_angle_gamma 119.34
_symmetry_space_group_name_H-M 'P 1'
_symmetry_Int_Tables_number 1
_symmetry_space_group_name_Hall 'P 1'
loop_
_atom_site_label
_atom_site_fract_x
_atom_site_fract_y
_atom_site_fract_z
_atom_site_occupancy
Ba1 0.000 0.000 0.000 1
Ba2 0.242 0.490 0.702 1
Nd1 0.793 0.593 0.365 1
Mg1 0.410 0.844 0.284 1
Mo1 0.613 0.231 0.826 1
O1 0.020 0.484 0.084 1
O2 0.234 0.998 0.550 1
O3 0.477 0.054 0.080 1
O4 0.561 0.584 0.057 1
O5 0.639 0.883 0.579 1
O6 0.784 0.462 0.647 1
```


(2)
This entry pairs a crystal structure of BaMgMoO3 with its simulated powder diffraction line list. Radiation: Cu Kα (weighted mean of Kα1 and Kα2). Structure: a crystal structure in the Materials Project, relaxed with PBE+U.

Most intense lines, 10° ≤ 2θ ≤ 90°, sorted by position:
h k l, Position (°2θ), d/Å, I_rel
1 0 1, 19.8, 4.488, 27
0 1 2, 25.9, 3.435, 39
0 0 3, 29.0, 3.081, 28
1 1 0, 30.1, 2.964, 100
2 0 2, 40.2, 2.244, 22
1 1 3, 42.3, 2.136, 90
3 0 0, 53.5, 1.711, 20
0 3 3, 62.0, 1.496, 28
2 2 0, 62.7, 1.482, 18
2 2 3, 70.5, 1.336, 14

Structure:
```
data_BaMgMoO3
_cell_length_a 5.9284
_cell_length_b 5.9284
_cell_length_c 9.2436
_cell_angle_alpha 90.00
_cell_angle_beta 90.00
_cell_angle_gamma 120.00
_symmetry_space_group_name_H-M 'R 3 m'
_symmetry_Int_Tables_number 160
_symmetry_space_group_name_Hall 'R 3 -2"'
loop_
_atom_site_label
_atom_site_fract_x
_atom_site_fract_y
_atom_site_fract_z
_atom_site_occupancy
Ba1 0.0000 0.0000 0.0000 1
Mg1 0.0000 0.0000 0.6581 1
Mo1 0.0000 0.0000 0.3652 1
O1 0.1694 0.3387 0.2144 1
```


(3)
This entry pairs a crystal structure of BaMgMoO3 with its simulated powder diffraction line list. Radiation: Cu Kα (weighted mean of Kα1 and Kα2). Structure: a crystal structure in the Materials Project, relaxed with PBE+U.

Most intense lines, 10° ≤ 2θ ≤ 90°, sorted by position:
h k l, Position (°2θ), d/Å, I_rel
1 0 1, 25.2, 3.537, 100
0 0 2, 26.4, 3.376, 62
1 1 0, 30.4, 2.936, 51
1 1 2, 40.7, 2.215, 46
2 0 0, 43.6, 2.076, 30
1 0 3, 45.9, 1.979, 20
2 1 1, 51.0, 1.790, 29
2 0 2, 51.7, 1.768, 35
2 1 3, 65.1, 1.432, 14
3 1 2, 78.1, 1.224, 14

Structure:
```
data_BaMgMoO3
_cell_length_a 4.152
_cell_length_b 4.152
_cell_length_c 6.751
_cell_angle_alpha 90.00
_cell_angle_beta 90.00
_cell_angle_gamma 90.00
_symmetry_space_group_name_H-M 'P 4/m m m'
_symmetry_Int_Tables_number 123
_symmetry_space_group_name_Hall '-P 4 2'
loop_
_atom_site_label
_atom_site_fract_x
_atom_site_fract_y
_atom_site_fract_z
_atom_site_occupancy
Ba1 0.000 0.000 0.000 1
Mg1 0.000 0.000 0.500 1
Mo1 0.500 0.500 0.500 1
O1 0.000 0.500 0.500 1
O2 0.500 0.500 0.000 1
```


(4)
This entry pairs a crystal structure of Ba2MgMoO6 with its simulated powder diffraction line list. Radiation: Cu Kα (weighted mean of Kα1 and Kα2). Structure: a crystal structure in the Materials Project, relaxed with PBE+U.

Most intense lines, 10° ≤ 2θ ≤ 90°, sorted by position:
h k l, Position (°2θ), d/Å, I_rel
1 1 1, 18.7, 4.741, 12
2 0 0, 21.6, 4.106, 10
2 2 0, 30.8, 2.903, 100
2 2 2, 38.0, 2.371, 17
4 0 0, 44.1, 2.053, 34
4 2 2, 54.8, 1.676, 39
4 4 0, 64.2, 1.452, 20
6 2 0, 72.8, 1.298, 18
4 4 4, 81.1, 1.185, 7
6 4 2, 89.3, 1.097, 22

Structure:
```
data_Ba2MgMoO6
_cell_length_a 8.212
_cell_length_b 8.212
_cell_length_c 8.212
_cell_angle_alpha 90.00
_cell_angle_beta 90.00
_cell_angle_gamma 90.00
_symmetry_space_group_name_H-M 'F m -3 m'
_symmetry_Int_Tables_number 225
_symmetry_space_group_name_Hall '-F 4 2 3'
loop_
_atom_site_label
_atom_site_fract_x
_atom_site_fract_y
_atom_site_fract_z
_atom_site_occupancy
Ba1 0.250 0.250 0.250 1
Mg1 0.000 0.000 0.000 1
Mo1 0.000 0.000 0.500 1
O1 0.000 0.000 0.261 1
```


(5)
This entry pairs a crystal structure of BaMgMo4O8 with its simulated powder diffraction line list. Radiation: Cu Kα (weighted mean of Kα1 and Kα2). Structure: a crystal structure in the Materials Project, relaxed with PBE+U.

Most intense lines, 10° ≤ 2θ ≤ 90°, sorted by position:
h k l, Position (°2θ), d/Å, I_rel
1 0 1, 21.7, 4.099, 24
0 0 2, 24.4, 3.646, 12
1 0 2, 30.4, 2.937, 72
1 1 0, 31.3, 2.861, 100
0 0 3, 37.0, 2.431, 15
2 0 2, 44.2, 2.050, 30
1 1 3, 49.2, 1.853, 19
2 1 2, 55.1, 1.666, 29
3 0 0, 55.6, 1.652, 27
2 -1 4, 60.2, 1.538, 22

Structure:
```
data_BaMgMo4O8
_cell_length_a 5.7228
_cell_length_b 5.7228
_cell_length_c 7.2926
_cell_angle_alpha 90.00
_cell_angle_beta 90.00
_cell_angle_gamma 120.00
_symmetry_space_group_name_H-M 'P -3 1 m'
_symmetry_Int_Tables_number 162
_symmetry_space_group_name_Hall '-P 3 2'
loop_
_atom_site_label
_atom_site_fract_x
_atom_site_fract_y
_atom_site_fract_z
_atom_site_occupancy
Ba1 0.0000 0.0000 0.0000 1
Mg1 0.0000 0.0000 0.5000 1
Mo1 0.3333 0.6667 0.2820 1
O1 0.0000 0.2924 0.3208 1
O2 0.3333 0.6667 0.0000 1
```


(6)
This entry pairs a crystal structure of Ba2MgMo2O8 with its simulated powder diffraction line list. Radiation: Cu Kα (weighted mean of Kα1 and Kα2). Structure: a crystal structure in the Materials Project, relaxed with PBE+U.

Most intense lines, 10° ≤ 2θ ≤ 90°, sorted by position:
h k l, Position (°2θ), d/Å, I_rel
-1 1 1, 25.3, 3.522, 99
1 -1 1, 25.6, 3.482, 100
1 1 0, 25.7, 3.462, 94
1 1 -2, 26.1, 3.418, 97
0 0 2, 27.6, 3.234, 65
0 2 -1, 29.5, 3.032, 57
2 0 -1, 32.0, 2.798, 44
0 2 1, 40.4, 2.234, 38
2 0 1, 42.7, 2.116, 52
2 -2 0, 43.4, 2.083, 36

Structure:
```
data_Ba2MgMo2O8
_cell_length_a 5.599
_cell_length_b 6.067
_cell_length_c 7.593
_cell_angle_alpha 111.93
_cell_angle_beta 110.97
_cell_angle_gamma 91.45
_symmetry_space_group_name_H-M 'P 1'
_symmetry_Int_Tables_number 1
_symmetry_space_group_name_Hall 'P 1'
loop_
_atom_site_label
_atom_site_fract_x
_atom_site_fract_y
_atom_site_fract_z
_atom_site_occupancy
Ba1 0.000 0.000 0.000 1
Ba2 0.253 0.746 0.498 1
Mg1 0.321 0.307 0.627 1
Mo1 0.528 0.525 0.059 1
Mo2 0.751 0.247 0.489 1
O1 0.297 0.225 0.860 1
O2 0.365 0.754 0.185 1
O3 0.420 0.328 0.381 1
O4 0.563 0.624 0.855 1
O5 0.654 0.113 0.646 1
O6 0.824 0.431 0.192 1
O7 0.977 0.059 0.388 1
O8 0.997 0.531 0.649 1
```


(7)
This entry pairs a crystal structure of BaMgMoP2O8 with its simulated powder diffraction line list. Radiation: Cu Kα (weighted mean of Kα1 and Kα2). Structure: a crystal structure in the Materials Project, relaxed with PBE+U.

Most intense lines, 10° ≤ 2θ ≤ 90°, sorted by position:
h k l, Position (°2θ), d/Å, I_rel
1 1 0, 19.2, 4.634, 83
2 0 0, 20.4, 4.355, 70
2 0 -1, 22.4, 3.961, 46
1 1 -2, 28.6, 3.118, 100
1 1 2, 29.8, 2.996, 93
0 2 0, 32.7, 2.737, 47
3 1 0, 35.0, 2.565, 77
0 2 2, 39.7, 2.270, 27
2 2 -2, 44.2, 2.049, 31
3 3 0, 59.9, 1.544, 35

Structure:
```
data_BaMgMoP2O8
_cell_length_a 8.736
_cell_length_b 5.473
_cell_length_c 8.150
_cell_angle_alpha 90.00
_cell_angle_beta 94.35
_cell_angle_gamma 90.00
_symmetry_space_group_name_H-M 'C 1 m 1'
_symmetry_Int_Tables_number 8
_symmetry_space_group_name_Hall 'C -2y'
loop_
_atom_site_label
_atom_site_fract_x
_atom_site_fract_y
_atom_site_fract_z
_atom_site_occupancy
Ba1 0.000 0.000 0.000 1
Mg1 0.315 0.000 0.329 1
Mo1 0.496 0.500 0.519 1
P1 0.125 0.500 0.295 1
P2 0.363 0.000 0.718 1
O1 0.012 0.278 0.327 1
O2 0.163 0.500 0.116 1
O3 0.244 0.000 0.561 1
O4 0.259 0.500 0.427 1
O5 0.286 0.000 0.879 1
O6 0.465 0.233 0.705 1
```


(8)
This entry pairs a crystal structure of Ba2MgMo4P8O28 with its simulated powder diffraction line list. Radiation: Cu Kα (weighted mean of Kα1 and Kα2). Structure: a crystal structure in the Materials Project, relaxed with PBE+U.

Most intense lines, 10° ≤ 2θ ≤ 90°, sorted by position:
h k l, Position (°2θ), d/Å, I_rel
1 0 -2, 22.8, 3.900, 100
-1 1 2, 23.9, 3.730, 41
1 -1 2, 24.2, 3.681, 33
2 1 1, 25.3, 3.521, 45
2 -1 1, 26.6, 3.352, 36
1 2 2, 27.4, 3.251, 86
2 -2 0, 32.3, 2.770, 37
2 2 0, 32.6, 2.743, 64
1 2 -3, 41.7, 2.164, 36
2 2 4, 42.6, 2.122, 35

Structure:
```
data_Ba2MgMo4P8O28
_cell_length_a 7.814
_cell_length_b 8.036
_cell_length_c 10.280
_cell_angle_alpha 79.21
_cell_angle_beta 80.52
_cell_angle_gamma 88.81
_symmetry_space_group_name_H-M 'P 1'
_symmetry_Int_Tables_number 1
_symmetry_space_group_name_Hall 'P 1'
loop_
_atom_site_label
_atom_site_fract_x
_atom_site_fract_y
_atom_site_fract_z
_atom_site_occupancy
Ba1 0.000 0.000 0.000 1
Ba2 0.444 0.574 0.515 1
Mg1 0.713 0.384 0.959 1
Mo1 0.001 0.513 0.291 1
Mo2 0.448 0.039 0.539 1
Mo3 0.452 0.054 0.034 1
Mo4 0.923 0.620 0.754 1
P1 0.095 0.284 0.583 1
P2 0.169 0.410 0.976 1
P3 0.183 0.873 0.328 1
P4 0.273 0.763 0.826 1
P5 0.630 0.339 0.264 1
P6 0.693 0.683 0.117 1
P7 0.718 0.242 0.732 1
P8 0.822 0.813 0.470 1
O1 0.081 0.801 0.812 1
O2 0.087 0.314 0.434 1
O3 0.129 0.446 0.632 1
O4 0.163 0.448 0.115 1
O5 0.194 0.682 0.328 1
O6 0.220 0.144 0.628 1
O7 0.223 0.984 0.189 1
O8 0.262 0.246 0.954 1
O9 0.285 0.556 0.866 1
O10 0.291 0.909 0.431 1
O11 0.316 0.846 0.936 1
O12 0.397 0.802 0.690 1
O13 0.500 0.272 0.391 1
O14 0.586 0.186 0.656 1
O15 0.586 0.545 0.242 1
O16 0.603 0.274 0.139 1
O17 0.619 0.857 0.123 1
O18 0.654 0.900 0.438 1
O19 0.678 0.617 0.990 1
O20 0.700 0.153 0.884 1
O21 0.706 0.434 0.743 1
O22 0.819 0.325 0.282 1
O23 0.824 0.630 0.440 1
O24 0.847 0.822 0.611 1
O25 0.883 0.687 0.143 1
O26 0.908 0.201 0.667 1
O27 0.979 0.919 0.367 1
O28 0.986 0.407 0.931 1
```


(9)
This entry pairs a crystal structure of Ba2MgMo4P8O28 with its simulated powder diffraction line list. Radiation: Cu Kα (weighted mean of Kα1 and Kα2). Structure: a crystal structure in the Materials Project, relaxed with PBE+U.

Most intense lines, 10° ≤ 2θ ≤ 90°, sorted by position:
h k l, Position (°2θ), d/Å, I_rel
0 1 -1, 15.7, 5.640, 40
1 0 -2, 22.8, 3.901, 91
0 1 -2, 22.9, 3.878, 100
-1 1 2, 23.8, 3.737, 42
1 0 3, 27.1, 3.292, 38
1 2 2, 27.2, 3.276, 44
2 1 2, 27.4, 3.253, 39
2 1 -1, 29.4, 3.041, 42
2 -2 0, 32.3, 2.772, 72
2 2 0, 32.8, 2.733, 54

Structure:
```
data_Ba2MgMo4P8O28
_cell_length_a 7.904
_cell_length_b 7.968
_cell_length_c 10.395
_cell_angle_alpha 78.42
_cell_angle_beta 79.40
_cell_angle_gamma 88.66
_symmetry_space_group_name_H-M 'P 1'
_symmetry_Int_Tables_number 1
_symmetry_space_group_name_Hall 'P 1'
loop_
_atom_site_label
_atom_site_fract_x
_atom_site_fract_y
_atom_site_fract_z
_atom_site_occupancy
Ba1 0.000 0.000 0.000 1
Ba2 0.483 0.478 0.489 1
Mg1 0.821 0.881 0.703 1
Mo1 0.018 0.505 0.950 1
Mo2 0.461 0.039 0.196 1
Mo3 0.461 0.943 0.717 1
Mo4 0.988 0.483 0.435 1
P1 0.159 0.754 0.611 1
P2 0.241 0.129 0.480 1
P3 0.268 0.686 0.142 1
P4 0.382 0.253 0.894 1
P5 0.634 0.755 0.006 1
P6 0.720 0.850 0.410 1
P7 0.770 0.294 0.754 1
P8 0.814 0.210 0.263 1
O1 0.013 0.731 0.733 1
O2 0.125 0.959 0.552 1
O3 0.137 0.651 0.506 1
O4 0.140 0.284 0.518 1
O5 0.171 0.684 0.028 1
O6 0.208 0.548 0.267 1
O7 0.254 0.389 0.855 1
O8 0.265 0.870 0.167 1
O9 0.272 0.137 0.332 1
O10 0.328 0.080 0.864 1
O11 0.340 0.725 0.640 1
O12 0.403 0.122 0.544 1
O13 0.411 0.234 0.036 1
O14 0.471 0.641 0.094 1
O15 0.547 0.857 0.361 1
O16 0.560 0.312 0.788 1
O17 0.616 0.785 0.856 1
O18 0.630 0.219 0.238 1
O19 0.639 0.926 0.053 1
O20 0.698 0.862 0.558 1
O21 0.798 0.659 0.027 1
O22 0.799 0.416 0.617 1
O23 0.807 0.683 0.383 1
O24 0.813 0.106 0.749 1
O25 0.828 0.315 0.369 1
O26 0.846 0.003 0.325 1
O27 0.852 0.345 0.862 1
O28 0.954 0.241 0.140 1
```


(10)
This entry pairs a crystal structure of Ba2MgMo4P8O28 with its simulated powder diffraction line list. Radiation: Cu Kα (weighted mean of Kα1 and Kα2). Structure: a crystal structure in the Materials Project, relaxed with PBE+U.

Most intense lines, 10° ≤ 2θ ≤ 90°, sorted by position:
h k l, Position (°2θ), d/Å, I_rel
1 1 -1, 12.8, 6.910, 82
2 2 -1, 22.6, 3.928, 52
2 2 0, 22.8, 3.895, 52
1 1 2, 23.2, 3.841, 100
3 1 -1, 24.1, 3.695, 55
0 2 2, 24.3, 3.667, 87
3 1 -2, 26.2, 3.397, 64
1 1 -3, 26.8, 3.331, 71
4 0 0, 31.9, 2.807, 74
0 4 0, 33.1, 2.707, 53

Structure:
```
data_Ba2MgMo4P8O28
_cell_length_a 11.821
_cell_length_b 10.814
_cell_length_c 10.508
_cell_angle_alpha 90.00
_cell_angle_beta 108.20
_cell_angle_gamma 90.00
_symmetry_space_group_name_H-M 'C 1 2 1'
_symmetry_Int_Tables_number 5
_symmetry_space_group_name_Hall 'C 2y'
loop_
_atom_site_label
_atom_site_fract_x
_atom_site_fract_y
_atom_site_fract_z
_atom_site_occupancy
Ba1 0.239 0.000 0.204 1
Mg1 0.000 0.329 0.500 1
Mo1 0.000 0.678 0.000 1
Mo2 0.000 0.780 0.500 1
Mo3 0.012 0.231 0.232 1
P1 0.046 0.915 0.811 1
P2 0.058 0.546 0.308 1
P3 0.235 0.197 0.523 1
P4 0.240 0.271 0.032 1
O1 0.011 0.044 0.847 1
O2 0.030 0.629 0.649 1
O3 0.037 0.411 0.350 1
O4 0.040 0.821 0.154 1
O5 0.045 0.546 0.160 1
O6 0.053 0.904 0.671 1
O7 0.152 0.251 0.596 1
O8 0.156 0.315 0.897 1
O9 0.166 0.141 0.387 1
O10 0.173 0.793 0.483 1
O11 0.176 0.667 0.981 1
O12 0.178 0.895 0.920 1
O13 0.179 0.235 0.133 1
O14 0.193 0.579 0.392 1
```